# 1
Structure and computed powder diffraction line list of AcPrSb2Pd2 (the GGA-PBE geometry in Alexandria; λ = 1.5418 Å (Cu Kα)).

Principal peaks in the range 2θ = 5–70°, sorted by position:
22.0 deg, I 5.5
24.5 deg, I 4.9
30.8 deg, I 100.0
38.6 deg, I 53.0
43.3 deg, I 12.0
50.1 deg, I 25.7
51.1 deg, I 2.6
59.4 deg, I 28.1
65.0 deg, I 23.6
69.8 deg, I 9.2

Cell and atoms:
```
data_AcPrSb2Pd2
_chemical_formula_sum 'Ac1 Pr1 Sb2 Pd2'
_space_group_name_H-M_alt 'P 1'
_space_group_IT_number 1
_cell_length_a 4.6696
_cell_length_b 4.6696
_cell_length_c 8.3519
_cell_angle_alpha 90.00
_cell_angle_beta 90.00
_cell_angle_gamma 120.00
loop_
_space_group_symop_operation_xyz
'x,y,z'
loop_
_atom_site_label
_atom_site_fract_x
_atom_site_fract_y
_atom_site_fract_z
Ac1 0.0000 0.0000 0.0000
Pr1 0.0000 0.0000 0.5000
Sb1 0.3333 0.6667 0.2624
Sb2 0.6667 0.3333 0.7376
Pd1 0.3333 0.6667 0.7363
Pd2 0.6667 0.3333 0.2637
```


# 2
Structure and computed powder diffraction line list of Zr6Zn5Ga (the GGA-PBE geometry in Alexandria; λ = 1.5418 Å (Cu Kα)).

Principal peaks in the range 2θ = 5–70°, sorted by position:
26.5 deg, I 1.1
26.7 deg, I 2.2
38.0 deg, I 100.0
38.1 deg, I 49.3
47.0 deg, I 0.9
54.5 deg, I 8.5
55.0 deg, I 16.4
68.5 deg, I 16.5
68.8 deg, I 32.4

Cell and atoms:
```
data_Zr6Zn5Ga
_chemical_formula_sum 'Zr6 Zn5 Ga1'
_space_group_name_H-M_alt 'P 1'
_space_group_IT_number 1
_cell_length_a 8.1879
_cell_length_b 8.1879
_cell_length_c 8.1879
_cell_angle_alpha 146.52
_cell_angle_beta 131.42
_cell_angle_gamma 60.28
loop_
_space_group_symop_operation_xyz
'x,y,z'
loop_
_atom_site_label
_atom_site_fract_x
_atom_site_fract_y
_atom_site_fract_z
Zr1 0.0831 0.3335 0.7496
Zr2 0.2491 0.0000 0.2491
Zr3 0.4161 0.6665 0.7496
Zr4 0.5839 0.3335 0.2504
Zr5 0.7509 0.0000 0.7509
Zr6 0.9169 0.6665 0.2504
Zn1 0.0000 0.5000 0.5000
Zn2 0.1672 0.1672 0.0000
Zn3 0.3304 0.8304 0.5000
Zn4 0.6696 0.1696 0.5000
Zn5 0.8328 0.8328 0.0000
Ga1 0.5000 0.5000 0.0000
```